This entry pairs a crystal structure of LiTlFe2Cl6 with its computed PXRD pattern. Radiation: Cu Kα. Structure: a DFT-relaxed cell (PBE, Alexandria).
Peak positions follow from Bragg's law for the DFT cell and can differ from measured ones.

Crystal structure
Lattice parameters (Å, degrees): 9.437 9.437 7.388 104.27 104.27 91.26
Element x y z (fractional)
Li1 0.215 0.785 0.750
Li2 0.785 0.215 0.250
Tl1 0.116 0.884 0.250
Tl2 0.884 0.116 0.750
Fe1 0.234 0.388 0.314
Fe2 0.388 0.234 0.814
Fe3 0.612 0.766 0.186
Fe4 0.766 0.612 0.686
Cl1 0.035 0.215 0.202
Cl2 0.172 0.617 0.442
Cl3 0.215 0.035 0.702
Cl4 0.311 0.404 0.043
Cl5 0.383 0.828 0.058
Cl6 0.404 0.311 0.543
Cl7 0.596 0.689 0.457
Cl8 0.617 0.172 0.942
Cl9 0.689 0.596 0.957
Cl10 0.785 0.965 0.298
Cl11 0.828 0.383 0.558
Cl12 0.965 0.785 0.798

Principal peaks in the range 10° ≤ 2θ ≤ 90°, by angle:
2θ 13.9, rel. 28.8; 2θ 18.0, rel. 51.1; 2θ 20.4, rel. 100.0; 2θ 22.6, rel. 68.1; 2θ 23.3, rel. 34.8; 2θ 25.1, rel. 36.4; 2θ 26.1, rel. 39.6; 2θ 30.3, rel. 40.4; 2θ 38.9, rel. 27.1; 2θ 39.6, rel. 32.1

This entry pairs a crystal structure of MgTlFeCl5 with its computed PXRD pattern. Radiation: Cu Kα. Structure: a DFT-relaxed cell (PBE, Alexandria).
Peak positions follow from Bragg's law for the DFT cell and can differ from measured ones.

Crystal structure
Lattice parameters (Å, degrees): 7.299 7.299 9.297 103.44 103.44 106.18
Element x y z (fractional)
Mg1 0.000 0.000 0.000
Mg2 0.000 0.000 0.500
Tl1 0.336 0.664 0.750
Tl2 0.664 0.336 0.250
Fe1 0.314 0.686 0.250
Fe2 0.686 0.314 0.750
Cl1 0.066 0.934 0.750
Cl2 0.098 0.696 0.395
Cl3 0.237 0.376 0.070
Cl4 0.304 0.902 0.105
Cl5 0.376 0.237 0.570
Cl6 0.624 0.763 0.430
Cl7 0.696 0.098 0.895
Cl8 0.763 0.624 0.930
Cl9 0.902 0.304 0.605
Cl10 0.934 0.066 0.250

Principal peaks in the range 10° ≤ 2θ ≤ 90°, by angle:
2θ 14.0, rel. 43.8; 2θ 20.8, rel. 100.0; 2θ 22.0, rel. 72.2; 2θ 23.7, rel. 53.4; 2θ 25.4, rel. 75.0; 2θ 29.8, rel. 38.4; 2θ 30.1, rel. 61.8; 2θ 31.7, rel. 34.9; 2θ 39.2, rel. 32.0; 2θ 40.7, rel. 38.2

This entry pairs a crystal structure of MnFeCl2 with its computed PXRD pattern. Radiation: Cu Kα. Structure: a DFT-relaxed cell (PBE, Alexandria).
Peak positions follow from Bragg's law for the DFT cell and can differ from measured ones.

Crystal structure
Lattice parameters (Å, degrees): 5.610 3.240 8.816 90.00 101.79 90.00
Element x y z (fractional)
Mn1 0.000 0.000 0.000
Mn2 0.500 0.500 0.000
Fe1 0.259 0.000 0.769
Fe2 0.759 0.500 0.769
Cl1 0.037 0.500 0.598
Cl2 0.224 0.500 0.180
Cl3 0.537 0.000 0.598
Cl4 0.724 0.000 0.180

Principal peaks in the range 10° ≤ 2θ ≤ 90°, by angle:
2θ 10.3, rel. 100.0; 2θ 20.6, rel. 12.2; 2θ 34.8, rel. 64.7; 2θ 35.0, rel. 33.2; 2θ 40.3, rel. 23.1; 2θ 40.5, rel. 10.3; 2θ 42.7, rel. 20.0; 2θ 50.4, rel. 9.7; 2θ 50.7, rel. 18.2; 2θ 56.8, rel. 25.7

This entry pairs a crystal structure of MnFePdCl2 with its computed PXRD pattern. Radiation: Cu Kα. Structure: a DFT-relaxed cell (PBE, Alexandria).
Peak positions follow from Bragg's law for the DFT cell and can differ from measured ones.

Crystal structure
Lattice parameters (Å, degrees): 4.842 4.842 5.095 90.00 90.00 90.00
Element x y z (fractional)
Mn1 0.000 0.000 0.000
Fe1 0.500 0.500 0.000
Pd1 0.000 0.000 0.500
Cl1 0.000 0.500 0.500
Cl2 0.500 0.000 0.500

Principal peaks in the range 10° ≤ 2θ ≤ 90°, by angle:
2θ 18.3, rel. 78.8; 2θ 25.4, rel. 79.1; 2θ 26.0, rel. 67.8; 2θ 35.2, rel. 58.3; 2θ 37.1, rel. 100.0; 2θ 44.3, rel. 33.1; 2θ 45.5, rel. 32.1; 2θ 52.1, rel. 70.3; 2θ 53.5, rel. 32.2; 2θ 65.7, rel. 33.3

This entry pairs a crystal structure of Fe2Mo2Cl7 with its computed PXRD pattern. Radiation: Cu Kα. Structure: a DFT-relaxed cell (PBE, Alexandria).
Peak positions follow from Bragg's law for the DFT cell and can differ from measured ones.

Crystal structure
Lattice parameters (Å, degrees): 7.464 7.464 12.801 101.27 101.27 91.48
Element x y z (fractional)
Fe1 0.113 0.657 0.730
Fe2 0.343 0.887 0.770
Fe3 0.657 0.113 0.230
Fe4 0.887 0.343 0.270
Mo1 0.382 0.409 0.982
Mo2 0.409 0.382 0.482
Mo3 0.591 0.618 0.518
Mo4 0.618 0.591 0.018
Cl1 0.044 0.956 0.750
Cl2 0.133 0.562 0.896
Cl3 0.189 0.430 0.598
Cl4 0.228 0.466 0.327
Cl5 0.430 0.189 0.098
Cl6 0.438 0.867 0.604
Cl7 0.466 0.228 0.827
Cl8 0.534 0.772 0.173
Cl9 0.562 0.133 0.396
Cl10 0.570 0.811 0.902
Cl11 0.772 0.534 0.673
Cl12 0.811 0.570 0.402
Cl13 0.867 0.438 0.104
Cl14 0.956 0.044 0.250

Principal peaks in the range 10° ≤ 2θ ≤ 90°, by angle:
2θ 12.1, rel. 100.0; 2θ 12.8, rel. 48.3; 2θ 15.3, rel. 20.9; 2θ 16.8, rel. 83.8; 2θ 20.7, rel. 26.0; 2θ 22.0, rel. 55.0; 2θ 28.0, rel. 23.2; 2θ 37.8, rel. 18.7; 2θ 45.0, rel. 25.2; 2θ 46.1, rel. 24.9

This entry pairs a crystal structure of Fe3MoCl with its computed PXRD pattern. Radiation: Cu Kα. Structure: a DFT-relaxed cell (PBE, Alexandria).
Peak positions follow from Bragg's law for the DFT cell and can differ from measured ones.

Crystal structure
Lattice parameters (Å, degrees): 4.097 4.097 4.097 90.00 90.00 90.00
Element x y z (fractional)
Fe1 0.000 0.000 0.500
Fe2 0.000 0.500 0.000
Fe3 0.500 0.000 0.000
Mo1 0.500 0.500 0.500
Cl1 0.000 0.000 0.000

Principal peaks in the range 10° ≤ 2θ ≤ 90°, by angle:
2θ 30.9, rel. 26.0; 2θ 38.0, rel. 100.0; 2θ 44.2, rel. 79.4; 2θ 54.9, rel. 9.2; 2θ 64.3, rel. 47.8; 2θ 73.0, rel. 4.1; 2θ 77.2, rel. 33.6; 2θ 81.4, rel. 15.9; 2θ 89.5, rel. 5.4

> What is the formula in the third record?

MnFeCl2